No. 1
Starting from a structure optimized by DFT (PBE), the powder XRD pattern of Cs2CuH8Se2O12 was computed for Cu Kα X-rays.
No peak broadening, texture or thermal motion is included.

Structural model:
```
50
Lattice="7.5608 0.0000 0.0000 0.0000 8.1062 0.0000 -4.0542 0.0000 11.3507" Properties=species:S:1:pos:R:3 pbc="T T T"
Cs 0.5731 0.9094 2.9320
Cs -1.4541 3.1437 8.6073
Cs 4.9606 4.9625 2.7434
Cs 2.9335 7.1968 8.4188
Cu 3.7804 0.0000 0.0000
Cu 1.7533 4.0531 5.6754
H -2.6235 1.8530 11.1996
H -0.5964 2.2001 5.5242
H 0.2661 5.3420 4.1840
H -1.7610 6.8173 9.8593
H 1.2105 4.4479 3.1859
H -0.8166 7.7115 8.8613
H 0.2206 1.2208 6.4506
H 2.2477 2.8323 0.7753
H 1.2588 5.2739 10.5755
H 3.2860 6.8854 4.9001
H 4.3232 0.3947 2.4895
H 2.2960 3.6584 8.1648
H 5.2676 1.2889 1.4914
H 3.2405 2.7642 7.1668
H 4.1030 5.9061 5.8265
H 6.1301 6.2532 0.1511
Se 1.4825 5.7691 0.7848
Se -0.5446 6.3903 6.4602
Se 4.0511 1.7159 4.8905
Se 2.0240 2.3372 10.5659
O -2.0575 5.9028 6.9546
O -0.0304 6.2566 1.2793
O -2.5132 5.4854 10.4871
O -0.4861 6.6740 4.8118
O 0.6887 4.4376 4.0440
O -1.3385 7.7217 9.7193
O 2.2592 1.9259 0.3881
O 0.2321 2.1272 6.0634
O 1.9379 4.3971 1.6475
O -0.0892 7.7623 7.3228
O 0.5601 5.1631 6.8792
O 2.5873 6.9963 1.2038
O 0.9193 1.1100 10.1469
O 2.9464 2.9432 4.4716
O 3.5957 0.3439 4.0279
O 1.5686 3.7092 9.7033
O 3.2745 5.9791 5.2873
O 1.2474 6.1803 10.9627
O 4.8450 0.3845 1.6314
O 2.8179 3.6686 7.3068
O 3.9927 1.4322 6.5390
O 6.0198 2.6209 0.8636
O 3.5369 1.8496 10.0715
O 5.5640 2.2035 4.3961
```

Largest 6 diffraction maxima, by angle, 2θ = 5–70°:
d [Å], intensity
4.502, 957
4.427, 917
3.817, 1000
3.560, 790
3.539, 907
2.765, 906

No. 2
Starting from a structure optimized by DFT (PBE), the powder XRD pattern of Cs3Hf2CuTe10 was computed for Cu Kα X-rays.
No peak broadening, texture or thermal motion is included.

Structural model:
```
32
Lattice="10.2142 0.0000 0.0000 2.3197 11.0269 0.0000 0.1334 0.0661 11.4821" Properties=species:S:1:pos:R:3 pbc="T T T"
Cs 1.1182 2.6058 1.2630
Cs 2.9879 4.1755 6.9352
Cs 6.0967 9.8763 8.7434
Cs 6.5706 1.2167 2.7387
Cs 9.6794 6.9175 4.5469
Cs 11.5491 8.4872 10.2190
Hf 3.9602 9.2925 4.0999
Hf 5.4710 6.8755 1.5585
Hf 7.1963 4.2175 9.9235
Hf 8.7070 1.8005 7.3821
Cu 5.1870 4.1730 0.6435
Cu 7.4803 6.9200 10.8386
Te 0.5613 1.0556 9.2258
Te 2.7582 8.3625 6.5362
Te 2.6387 7.0990 2.4088
Te 1.9780 0.9898 4.9319
Te 4.9774 9.7382 1.2540
Te 4.1249 4.5510 2.9646
Te 4.9265 6.2290 10.3213
Te 5.8197 7.0492 4.4809
Te 4.9765 2.3450 10.4070
Te 6.7477 9.7072 4.9593
Te 5.9196 1.3858 6.5228
Te 7.6908 8.7480 1.0751
Te 6.8476 4.0438 7.0012
Te 7.7408 4.8640 1.1608
Te 8.5424 6.5419 8.5175
Te 7.6899 1.3548 10.2281
Te 10.6892 10.1032 6.5502
Te 10.0286 3.9940 9.0733
Te 9.9091 2.7305 4.9459
Te 12.1060 10.0373 2.2563
```

Largest 6 diffraction maxima, by angle, 2θ = 5–70°:
d [Å], intensity
8.305, 1000
7.932, 954
7.577, 973
3.493, 939
3.459, 671
2.928, 532